Theoretical X-ray powder pattern of SrPm2Zn2Sn2 for Cu Ka, from a DFT-relaxed cell (PBE, Alexandria).
Intensities are scaled so that the largest is 100.

Structural model:
```
SrPm2Zn2Sn2
1.0
2.3746 1.3710 10.0423
-2.3746 1.3710 10.0423
0.0000 -2.7420 10.0423
Sr Pm Zn Sn
1 2 2 2
direct
0.0000 0.0000 0.0000
0.1323 0.1323 0.1323
0.8677 0.8677 0.8677
0.4224 0.4224 0.4224
0.5776 0.5776 0.5776
0.2597 0.2597 0.2597
0.7403 0.7403 0.7403
```

Top 12 peaks for 15° ≤ 2θ ≤ 90°, most intense first:
2θ (°)	I_rel
30.1	100
37.9	91
32.2	53
49.1	25
63.6	23
60.4	20
68.4	16
50.6	15
64.9	15
17.7	13
21.8	13
53.5	12